# MgIn4Ir
Computed powder X-ray diffraction pattern, Cu Kα (weighted mean of Kα1 and Kα2). Input: the PBE geometry in OQMD.
Intensities are scaled so that the largest is 1000.

Crystal structure
a = 7.3666 Å, b = 7.3666 Å, c = 7.3666 Å
α = 123.69°, β = 123.69°, γ = 83.72°
Positions (direct):
Mg 0.0000 0.0000 0.0000
Mg 0.5000 0.5000 0.0000
In 0.0164 0.5164 0.8149
In 0.2015 0.0164 0.5000
In 0.2985 0.7985 0.8149
In 0.4836 0.2985 0.5000
In 0.5164 0.7015 0.5000
In 0.7015 0.2015 0.1851
In 0.7985 0.9836 0.5000
In 0.9836 0.4836 0.1851
Ir 0.2500 0.2500 0.0000
Ir 0.7500 0.7500 0.0000

Top 10 peaks for 2θ = 10–90°, most intense first:
2θ = 38.0°, I 1000; 2θ = 29.9°, I 978; 2θ = 41.1°, I 871; 2θ = 16.2°, I 667; 2θ = 37.5°, I 607; 2θ = 42.0°, I 556; 2θ = 66.5°, I 372; 2θ = 63.4°, I 298; 2θ = 44.4°, I 294; 2θ = 24.3°, I 280

***

# Nb2InSbIr2
Computed powder X-ray diffraction pattern, Cu Kα (weighted mean of Kα1 and Kα2). Input: the PBE geometry in OQMD.
Intensities are scaled so that the largest is 1000.

Crystal structure
a = 7.6459 Å, b = 7.6459 Å, c = 7.6459 Å
α = 131.91°, β = 131.91°, γ = 70.38°
Positions (direct):
Nb 0.2463 0.2463 0.0000
Nb 0.5037 0.0037 0.5000
Nb 0.7537 0.7537 0.0000
Nb 0.9963 0.4963 0.5000
In 0.0000 0.0000 0.0000
In 0.7500 0.2500 0.5000
Sb 0.2500 0.7500 0.5000
Sb 0.5000 0.5000 0.0000
Ir 0.1340 0.6250 0.0090
Ir 0.3750 0.3840 0.5090
Ir 0.6160 0.1250 0.9910
Ir 0.8750 0.8660 0.4910

Top 10 peaks for 2θ = 10–90°, most intense first:
2θ = 40.9°, I 1000; 2θ = 24.7°, I 555; 2θ = 74.6°, I 222; 2θ = 48.4°, I 183; 2θ = 65.2°, I 114; 2θ = 74.5°, I 112; 2θ = 59.3°, I 110; 2θ = 48.3°, I 94; 2θ = 88.7°, I 74; 2θ = 80.0°, I 64

***

# NdIn5NiIr
Computed powder X-ray diffraction pattern, Cu Kα (weighted mean of Kα1 and Kα2). Input: the PBE geometry in OQMD.
Intensities are scaled so that the largest is 1000.

Crystal structure
a = 6.9178 Å, b = 6.9178 Å, c = 6.9178 Å
α = 144.16°, β = 108.64°, γ = 82.52°
Positions (direct):
Nd 0.0000 0.0000 0.0000
In 0.1333 0.3346 0.7987
In 0.4541 0.6437 0.8104
In 0.4928 0.9928 0.5000
In 0.5359 0.3346 0.2013
In 0.8333 0.6437 0.1896
Ni 0.7390 0.2390 0.5000
Ir 0.2353 0.7353 0.5000

Top 10 peaks for 2θ = 10–90°, most intense first:
2θ = 33.3°, I 1000; 2θ = 31.7°, I 938; 2θ = 41.3°, I 597; 2θ = 42.5°, I 580; 2θ = 39.6°, I 436; 2θ = 60.7°, I 374; 2θ = 43.4°, I 313; 2θ = 29.3°, I 252; 2θ = 13.9°, I 239; 2θ = 42.2°, I 226